Entry 1:
This entry pairs a crystal structure of TiNb6Tl2O18 with its computed powder XRD pattern. Radiation: Cu Ka. Structure: the PBE geometry in the Materials Project.

Principal peaks in the range 2θ from 15° to 90°, by intensity:
h k l	2theta	d (Å)	I/Imax
2 2 -1	28.9	3.090	100
1 1 2	25.3	3.522	44
6 2 0	47.3	1.923	27
4 0 0	26.8	3.330	23
3 1 1	25.5	3.488	22
0 0 2	21.4	4.150	17
2 0 1	17.1	5.195	16
3 1 3	40.2	2.245	15
8 0 -1	56.4	1.633	14
1 1 -3	35.1	2.555	13

Structural model:
```
data_TiNb6Tl2O18
_chemical_formula_sum 'Ti2 Nb12 Tl4 O36'
_symmetry_space_group_name_H-M 'C 1 2 1'
_symmetry_Int_Tables_number 5
_symmetry_space_group_name_Hall 'C 2y'
_cell_length_a 13.3265
_cell_length_b 7.6861
_cell_length_c 8.3004
_cell_angle_alpha 90.00
_cell_angle_beta 90.16
_cell_angle_gamma 90.00
loop_
_atom_site_label
_atom_site_fract_x
_atom_site_fract_y
_atom_site_fract_z
Ti1 0.0000 0.0000 0.0000
Nb1 0.0845 0.7481 0.6522
Nb2 0.0850 0.2509 0.6528
Nb3 0.1675 0.9987 0.3483
Tl1 0.1564 0.4705 0.2031
O1 0.0519 0.5011 0.6619
O2 0.0597 0.1835 0.8642
O3 0.0601 0.8220 0.8628
O4 0.0711 0.2164 0.3969
O5 0.0712 0.7879 0.3981
O6 0.1199 0.0034 0.1371
O7 0.1422 0.0022 0.6027
O8 0.2240 0.3298 0.6611
O9 0.2247 0.6745 0.6618
```



Entry 2:
This entry pairs a crystal structure of YTiNbO6 with its computed powder XRD pattern. Radiation: Cu Ka. Structure: the PBE geometry in the Materials Project.

Principal peaks in the range 2θ from 15° to 90°, by intensity:
h k l	2theta	d (Å)	I/Imax
1 3 1	29.6	3.019	100
1 3 -1	29.4	3.040	85
0 6 2	49.1	1.856	25
0 0 2	31.7	2.820	22
2 6 0	50.8	1.796	20
0 3 1	24.0	3.710	20
0 3 3	52.1	1.755	19
1 9 1	61.4	1.509	19
2 0 0	34.2	2.623	15
1 2 -1	26.0	3.424	14

Structural model:
```
data_YTiNbO6
_chemical_formula_sum 'Y4 Ti4 Nb4 O24'
_symmetry_space_group_name_H-M 'P 1 21/c 1'
_symmetry_Int_Tables_number 14
_symmetry_space_group_name_Hall '-P 2ybc'
_cell_length_a 5.2460
_cell_length_b 14.7851
_cell_length_c 5.6400
_cell_angle_alpha 90.00
_cell_angle_beta 90.66
_cell_angle_gamma 90.00
loop_
_atom_site_label
_atom_site_fract_x
_atom_site_fract_y
_atom_site_fract_z
Y1 0.2446 0.0005 0.2378
Ti1 0.1840 0.6634 0.1879
Nb1 0.3232 0.1693 0.6852
O1 0.0370 0.0918 0.5574
O2 0.0842 0.5866 0.4112
O3 0.1423 0.2396 0.3603
O4 0.3580 0.7426 0.8584
O5 0.4180 0.0849 0.9126
O6 0.4620 0.5922 0.0654
```